The following is a calculated powder XRD pattern of Te5Cl3. It was derived from a DFT-relaxed cell (PBE, Alexandria), using copper Kα.
Kinematic intensities with the Lorentz-polarization factor, no thermal factor.

Atomic structure:
abc: 8.932 8.932 6.888
angles: 90.00 90.00 120.00
Positions (direct):
Te 0.000 0.179 0.250
Te 0.000 0.821 0.750
Te 0.179 0.000 0.250
Te 0.179 0.179 0.750
Te 0.333 0.667 0.000
Te 0.333 0.667 0.500
Te 0.667 0.333 0.000
Te 0.667 0.333 0.500
Te 0.821 0.000 0.750
Te 0.821 0.821 0.250
Cl 0.000 0.465 0.750
Cl 0.000 0.535 0.250
Cl 0.465 0.000 0.750
Cl 0.465 0.465 0.250
Cl 0.535 0.000 0.250
Cl 0.535 0.535 0.750

Most intense lines, 10° ≤ 2θ ≤ 90°, by angle:
| 2theta | I/Imax |
| --- | --- |
| 19.88 | 66 |
| 28.37 | 100 |
| 30.58 | 73 |
| 32.84 | 44 |
| 33.29 | 91 |
| 43.86 | 44 |



The following is a calculated powder XRD pattern of TeCl2. It was derived from a DFT-relaxed cell (PBE, Alexandria), using copper Kα.
Kinematic intensities with the Lorentz-polarization factor, no thermal factor.

Atomic structure:
abc: 8.500 8.500 3.788
angles: 90.00 90.00 90.00
Positions (direct):
Te 0.000 0.000 0.000
Te 0.500 0.500 0.500
Cl 0.154 0.154 0.500
Cl 0.346 0.654 0.000
Cl 0.654 0.346 0.000
Cl 0.846 0.846 0.500

Most intense lines, 10° ≤ 2θ ≤ 90°, by angle:
| 2theta | I/Imax |
| --- | --- |
| 14.74 | 100 |
| 20.90 | 19 |
| 33.39 | 55 |
| 39.73 | 28 |
| 45.29 | 20 |
| 50.40 | 17 |



The following is a calculated powder XRD pattern of Tl2TeCl. It was derived from a DFT-relaxed cell (PBE, Alexandria), using copper Kα.
Kinematic intensities with the Lorentz-polarization factor, no thermal factor.

Atomic structure:
abc: 4.671 4.671 8.730
angles: 97.05 97.05 44.11
Positions (direct):
Tl 0.239 0.239 0.229
Tl 0.761 0.761 0.771
Te 0.000 0.000 0.500
Cl 0.500 0.500 0.000

Most intense lines, 10° ≤ 2θ ≤ 90°, by angle:
| 2theta | I/Imax |
| --- | --- |
| 20.70 | 21 |
| 27.26 | 64 |
| 29.87 | 100 |
| 31.24 | 41 |
| 40.79 | 41 |
| 40.97 | 44 |



The following is a calculated powder XRD pattern of Tl4Te5Cl. It was derived from a DFT-relaxed cell (PBE, Alexandria), using copper Kα.
Kinematic intensities with the Lorentz-polarization factor, no thermal factor.

Atomic structure:
abc: 8.866 8.866 8.866
angles: 149.01 97.29 90.90
Positions (direct):
Tl 0.186 0.186 0.000
Tl 0.261 0.500 0.761
Tl 0.739 0.500 0.239
Tl 0.814 0.814 0.000
Te 0.133 0.821 0.312
Te 0.492 0.179 0.312
Te 0.500 0.000 0.500
Te 0.508 0.821 0.688
Te 0.867 0.179 0.688
Cl 0.000 0.500 0.500

Most intense lines, 10° ≤ 2θ ≤ 90°, by angle:
| 2theta | I/Imax |
| --- | --- |
| 25.22 | 44 |
| 28.62 | 100 |
| 31.47 | 37 |
| 33.03 | 61 |
| 37.99 | 34 |
| 42.34 | 28 |



The following is a calculated powder XRD pattern of TlTeCl. It was derived from a DFT-relaxed cell (PBE, Alexandria), using copper Kα.
Kinematic intensities with the Lorentz-polarization factor, no thermal factor.

Atomic structure:
abc: 11.340 11.340 11.340
angles: 158.09 158.09 31.18
Positions (direct):
Tl 0.167 0.167 0.000
Tl 0.833 0.833 0.000
Te 0.011 0.511 0.500
Te 0.489 0.989 0.500
Cl 0.306 0.306 0.000
Cl 0.694 0.694 0.000

Most intense lines, 10° ≤ 2θ ≤ 90°, by angle:
| 2theta | I/Imax |
| --- | --- |
| 23.99 | 81 |
| 24.45 | 77 |
| 30.45 | 100 |
| 33.67 | 56 |
| 41.92 | 43 |
| 49.12 | 47 |



The following is a calculated powder XRD pattern of Tl2TeCl6. It was derived from a DFT-relaxed cell (PBE, Alexandria), using copper Kα.
Kinematic intensities with the Lorentz-polarization factor, no thermal factor.

Atomic structure:
abc: 7.316 7.316 7.316
angles: 60.00 60.00 60.00
Positions (direct):
Tl 0.250 0.250 0.250
Tl 0.750 0.750 0.750
Te 0.000 0.000 0.000
Cl 0.247 0.247 0.753
Cl 0.247 0.753 0.247
Cl 0.247 0.753 0.753
Cl 0.753 0.247 0.247
Cl 0.753 0.247 0.753
Cl 0.753 0.753 0.247

Most intense lines, 10° ≤ 2θ ≤ 90°, by angle:
| 2theta | I/Imax |
| --- | --- |
| 24.33 | 100 |
| 29.92 | 49 |
| 34.68 | 55 |
| 42.82 | 47 |
| 49.86 | 38 |
| 67.78 | 25 |



The following is a calculated powder XRD pattern of UTe2Cl5. It was derived from a DFT-relaxed cell (PBE, Alexandria), using copper Kα.
Kinematic intensities with the Lorentz-polarization factor, no thermal factor.

Atomic structure:
abc: 8.527 8.527 8.527
angles: 96.00 95.84 142.53
Positions (direct):
U 0.000 0.000 0.000
Te 0.242 0.742 0.500
Te 0.742 0.242 0.500
Cl 0.154 0.154 0.309
Cl 0.154 0.845 0.000
Cl 0.500 0.500 0.000
Cl 0.845 0.154 0.000
Cl 0.845 0.845 0.691

Most intense lines, 10° ≤ 2θ ≤ 90°, by angle:
| 2theta | I/Imax |
| --- | --- |
| 15.52 | 100 |
| 17.96 | 51 |
| 22.01 | 61 |
| 34.58 | 42 |
| 35.14 | 39 |
| 41.38 | 31 |



The following is a calculated powder XRD pattern of UTeCl2. It was derived from a DFT-relaxed cell (PBE, Alexandria), using copper Kα.
Kinematic intensities with the Lorentz-polarization factor, no thermal factor.

Atomic structure:
abc: 7.192 7.192 8.820
angles: 90.00 90.00 148.12
Positions (direct):
U 0.233 0.767 0.750
U 0.767 0.233 0.250
Te 0.428 0.572 0.250
Te 0.572 0.428 0.750
Cl 0.168 0.832 0.074
Cl 0.168 0.832 0.426
Cl 0.832 0.168 0.574
Cl 0.832 0.168 0.926

Most intense lines, 10° ≤ 2θ ≤ 90°, by angle:
| 2theta | I/Imax |
| --- | --- |
| 12.80 | 62 |
| 16.29 | 30 |
| 20.13 | 62 |
| 25.53 | 30 |
| 31.50 | 100 |
| 43.08 | 47 |



The following is a calculated powder XRD pattern of U2TeCl4. It was derived from a DFT-relaxed cell (PBE, Alexandria), using copper Kα.
Kinematic intensities with the Lorentz-polarization factor, no thermal factor.

Atomic structure:
abc: 10.406 10.406 4.515
angles: 90.00 90.00 155.51
Positions (direct):
U 0.082 0.918 0.000
U 0.918 0.082 0.000
Te 0.500 0.500 0.500
Cl 0.155 0.845 0.500
Cl 0.341 0.659 0.000
Cl 0.659 0.341 0.000
Cl 0.845 0.155 0.500

Most intense lines, 10° ≤ 2θ ≤ 90°, by angle:
| 2theta | I/Imax |
| --- | --- |
| 20.59 | 42 |
| 28.62 | 100 |
| 29.87 | 62 |
| 33.04 | 60 |
| 37.04 | 37 |
| 40.90 | 36 |



The following is a calculated powder XRD pattern of VTe3Cl. It was derived from a DFT-relaxed cell (PBE, Alexandria), using copper Kα.
Kinematic intensities with the Lorentz-polarization factor, no thermal factor.

Atomic structure:
abc: 7.657 7.657 5.397
angles: 90.00 90.00 120.00
Positions (direct):
V 0.000 0.000 0.000
V 0.000 0.000 0.500
Te 0.171 0.342 0.250
Te 0.171 0.829 0.250
Te 0.342 0.171 0.750
Te 0.658 0.829 0.250
Te 0.829 0.171 0.750
Te 0.829 0.658 0.750
Cl 0.333 0.667 0.750
Cl 0.667 0.333 0.250

Most intense lines, 10° ≤ 2θ ≤ 90°, by angle:
| 2theta | I/Imax |
| --- | --- |
| 13.35 | 23 |
| 31.67 | 100 |
| 43.23 | 22 |
| 47.50 | 26 |
| 58.22 | 17 |
| 58.36 | 17 |



The following is a calculated powder XRD pattern of Te2WCl. It was derived from a DFT-relaxed cell (PBE, Alexandria), using copper Kα.
Kinematic intensities with the Lorentz-polarization factor, no thermal factor.

Atomic structure:
abc: 3.315 3.315 8.173
angles: 90.00 90.00 90.00
Positions (direct):
Te 0.000 0.000 0.207
Te 0.000 0.000 0.793
W 0.500 0.500 0.000
Cl 0.500 0.500 0.500

Most intense lines, 10° ≤ 2θ ≤ 90°, by angle:
| 2theta | I/Imax |
| --- | --- |
| 10.83 | 91 |
| 34.85 | 100 |
| 38.41 | 45 |
| 40.02 | 17 |
| 42.97 | 33 |
| 67.18 | 29 |



The following is a calculated powder XRD pattern of TeWCl. It was derived from a DFT-relaxed cell (PBE, Alexandria), using copper Kα.
Kinematic intensities with the Lorentz-polarization factor, no thermal factor.

Atomic structure:
abc: 3.613 7.644 7.830
angles: 81.62 77.14 79.32
Positions (direct):
Te 0.084 0.228 0.160
Te 0.916 0.772 0.840
W 0.295 0.037 0.876
W 0.705 0.963 0.124
Cl 0.306 0.273 0.658
Cl 0.694 0.727 0.342

Most intense lines, 10° ≤ 2θ ≤ 90°, by angle:
| 2theta | I/Imax |
| --- | --- |
| 11.66 | 89 |
| 11.85 | 100 |
| 15.72 | 14 |
| 17.55 | 39 |
| 30.82 | 16 |
| 40.87 | 14 |